# 1
Simulated XRD peak list of ScRuN6F6 for Cu Kα, 1.54184 Å, from the GGA-PBE geometry in the Materials Project.

Crystal structure
```
data_ScRuN6F6
_cell_length_a 8.921
_cell_length_b 8.921
_cell_length_c 8.921
_cell_angle_alpha 90.00
_cell_angle_beta 90.00
_cell_angle_gamma 90.00
_symmetry_space_group_name_H-M 'P a -3'
_symmetry_Int_Tables_number 205
_symmetry_space_group_name_Hall '-P 2ac 2ab 3'
loop_
_atom_site_label
_atom_site_type_symbol
_atom_site_fract_x
_atom_site_fract_y
_atom_site_fract_z
_atom_site_occupancy
Sc1 Sc 0.000 0.000 0.000 1
Ru1 Ru 0.000 0.000 0.500 1
N1 N 0.015 0.020 0.276 1
F1 F 0.060 0.625 0.712 1
```

The 8 most intense peaks (10 to 80 degrees two-theta), by angle:
| 2θ/deg | I/Imax |
| --- | --- |
| 17.2 | 17.1 |
| 19.9 | 100.0 |
| 28.3 | 25.5 |
| 33.3 | 19.8 |
| 40.4 | 20.7 |
| 45.5 | 47.8 |
| 50.1 | 24.1 |
| 62.5 | 14.6 |

***

# 2
Simulated XRD peak list of Sb2SNF11 for Cu Kα, 1.54184 Å, from the GGA-PBE geometry in the Materials Project.

Crystal structure
```
data_Sb2SNF11
_cell_length_a 8.309
_cell_length_b 12.052
_cell_length_c 10.478
_cell_angle_alpha 90.00
_cell_angle_beta 92.59
_cell_angle_gamma 90.00
_symmetry_space_group_name_H-M 'P 1 21/c 1'
_symmetry_Int_Tables_number 14
_symmetry_space_group_name_Hall '-P 2ybc'
loop_
_atom_site_label
_atom_site_type_symbol
_atom_site_fract_x
_atom_site_fract_y
_atom_site_fract_z
_atom_site_occupancy
Sb1 Sb 0.178 0.222 0.458 1
Sb2 Sb 0.319 0.550 0.774 1
S1 S 0.208 0.548 0.261 1
N1 N 0.249 0.607 0.377 1
F1 F 0.014 0.688 0.143 1
F2 F 0.072 0.175 0.062 1
F3 F 0.094 0.545 0.726 1
F4 F 0.132 0.098 0.562 1
F5 F 0.230 0.169 0.834 1
F6 F 0.272 0.597 0.940 1
F7 F 0.288 0.111 0.338 1
F8 F 0.351 0.697 0.714 1
F9 F 0.368 0.017 0.117 1
F10 F 0.383 0.239 0.540 1
F11 F 0.460 0.025 0.669 1
```

The 8 most intense peaks (10 to 80 degrees two-theta), by angle:
| 2θ/deg | I/Imax |
| --- | --- |
| 13.0 | 44.3 |
| 15.2 | 37.3 |
| 15.7 | 37.6 |
| 20.5 | 40.7 |
| 21.0 | 76.8 |
| 21.4 | 41.3 |
| 22.5 | 100.0 |
| 24.6 | 90.5 |

***

# 3
Simulated XRD peak list of SbS2NF6 for Cu Kα, 1.54184 Å, from the GGA-PBE geometry in the Materials Project.

Crystal structure
```
data_SbS2NF6
_cell_length_a 9.810
_cell_length_b 6.933
_cell_length_c 5.512
_cell_angle_alpha 90.00
_cell_angle_beta 91.68
_cell_angle_gamma 90.00
_symmetry_space_group_name_H-M 'C 1 2/m 1'
_symmetry_Int_Tables_number 12
_symmetry_space_group_name_Hall '-C 2y'
loop_
_atom_site_label
_atom_site_type_symbol
_atom_site_fract_x
_atom_site_fract_y
_atom_site_fract_z
_atom_site_occupancy
Sb1 Sb 0.000 0.000 0.000 1
S1 S 0.140 0.500 0.613 1
N1 N 0.000 0.500 0.500 1
F1 F 0.113 0.000 0.722 1
F2 F 0.114 0.196 0.149 1
```

The 8 most intense peaks (10 to 80 degrees two-theta), by angle:
| 2θ/deg | I/Imax |
| --- | --- |
| 15.7 | 71.4 |
| 16.1 | 22.9 |
| 18.1 | 40.7 |
| 22.3 | 100.0 |
| 22.7 | 56.2 |
| 25.7 | 29.1 |
| 35.9 | 41.8 |
| 37.0 | 25.3 |

***

> Number 2 is which compound?

Sb2SNF11